Structure and simulated X-ray diffraction stick pattern of ErIn2Se4 (the PBE geometry in Alexandria; λ = 1.5418 Å (Cu Kα)).
No peak broadening, texture or thermal motion is included.

Largest 10 diffraction maxima, sorted by position, 2θ = 15–90°:
2theta  I_rel
20.3  17
25.0  100
35.7  9
41.2  51
41.7  25
48.4  16
49.2  30
65.7  12
74.8  8
75.7  16

Unit cell a=6.132 b=6.132 c=6.261 alpha=90.00 beta=90.00 gamma=90.00
Fractional coordinates of all 7 atoms:
Er 0.000 0.000 0.000
In 0.000 0.500 0.500
In 0.500 0.000 0.500
Se 0.263 0.263 0.240
Se 0.263 0.737 0.760
Se 0.737 0.263 0.760
Se 0.737 0.737 0.240



Structure and simulated X-ray diffraction stick pattern of Er3TiIn3Se8 (the PBE geometry in Alexandria; λ = 1.5418 Å (Cu Kα)).
No peak broadening, texture or thermal motion is included.

Largest 10 diffraction maxima, sorted by position, 2θ = 15–90°:
2theta  I_rel
30.1  100
37.6  12
40.6  36
45.3  33
47.2  10
55.3  17
62.5  10
67.5  12
74.2  13
80.5  9

Unit cell a=8.987 b=8.987 c=8.987 alpha=52.90 beta=52.90 gamma=52.90
Fractional coordinates of all 15 atoms:
Er 0.000 0.500 0.500
Er 0.500 0.000 0.500
Er 0.500 0.500 0.000
Ti 0.000 0.000 0.000
In 0.000 0.000 0.500
In 0.000 0.500 0.000
In 0.500 0.000 0.000
Se 0.221 0.221 0.758
Se 0.221 0.758 0.221
Se 0.242 0.779 0.779
Se 0.263 0.263 0.263
Se 0.737 0.737 0.737
Se 0.758 0.221 0.221
Se 0.779 0.242 0.779
Se 0.779 0.779 0.242



Structure and simulated X-ray diffraction stick pattern of Er7InSi5 (the PBE geometry in Alexandria; λ = 1.5418 Å (Cu Kα)).
No peak broadening, texture or thermal motion is included.

Largest 10 diffraction maxima, sorted by position, 2θ = 15–90°:
2theta  I_rel
24.7  41
29.5  100
31.0  75
31.5  78
34.8  88
37.4  23
38.4  25
40.0  51
57.6  25
61.2  29

Unit cell a=7.796 b=7.796 c=7.796 alpha=136.50 beta=93.63 gamma=102.20
Fractional coordinates of all 13 atoms:
Er 0.000 0.000 0.000
Er 0.312 0.641 0.671
Er 0.367 0.367 0.000
Er 0.424 0.091 0.333
Er 0.758 0.091 0.667
Er 0.852 0.352 0.500
Er 0.970 0.641 0.329
In 0.681 0.681 0.000
Si 0.113 0.156 0.525
Si 0.113 0.587 0.957
Si 0.363 0.863 0.500
Si 0.631 0.156 0.043
Si 0.631 0.587 0.475



Structure and simulated X-ray diffraction stick pattern of Er6InSi2 (the PBE geometry in Alexandria; λ = 1.5418 Å (Cu Kα)).
No peak broadening, texture or thermal motion is included.

Largest 10 diffraction maxima, sorted by position, 2θ = 15–90°:
2theta  I_rel
27.8  21
29.5  18
30.0  22
31.9  100
33.8  27
34.6  33
35.2  25
38.2  20
56.5  16
59.9  19

Unit cell a=8.431 b=8.431 c=8.431 alpha=112.06 beta=111.21 gamma=105.23
Fractional coordinates of all 18 atoms:
Er 0.038 0.242 0.796
Er 0.185 0.277 0.462
Er 0.185 0.723 0.908
Er 0.320 0.024 0.703
Er 0.320 0.617 0.297
Er 0.446 0.242 0.204
Er 0.554 0.758 0.796
Er 0.680 0.383 0.703
Er 0.680 0.976 0.297
Er 0.815 0.277 0.092
Er 0.815 0.723 0.538
Er 0.962 0.758 0.204
In 0.000 0.000 0.000
In 0.500 0.500 0.000
Si 0.117 0.617 0.500
Si 0.366 0.000 0.366
Si 0.634 0.000 0.634
Si 0.883 0.383 0.500



Structure and simulated X-ray diffraction stick pattern of Er5In2Si2 (the PBE geometry in Alexandria; λ = 1.5418 Å (Cu Kα)).
No peak broadening, texture or thermal motion is included.

Largest 10 diffraction maxima, sorted by position, 2θ = 15–90°:
2theta  I_rel
26.3  24
26.9  23
31.5  24
32.9  100
33.1  26
33.5  37
35.0  32
38.0  39
55.3  16
59.6  21

Unit cell a=8.714 b=8.714 c=7.578 alpha=90.00 beta=90.00 gamma=51.41
Fractional coordinates of all 18 atoms:
Er 0.000 0.000 0.000
Er 0.060 0.693 0.680
Er 0.193 0.560 0.180
Er 0.307 0.940 0.680
Er 0.440 0.807 0.180
Er 0.500 0.500 0.500
Er 0.560 0.193 0.820
Er 0.693 0.060 0.320
Er 0.807 0.440 0.820
Er 0.940 0.307 0.320
In 0.222 0.222 0.000
In 0.278 0.278 0.500
In 0.722 0.722 0.500
In 0.778 0.778 0.000
Si 0.118 0.882 0.379
Si 0.382 0.618 0.879
Si 0.618 0.382 0.121
Si 0.882 0.118 0.621



Structure and simulated X-ray diffraction stick pattern of Sm5Er2In4 (the PBE geometry in Alexandria; λ = 1.5418 Å (Cu Kα)).
No peak broadening, texture or thermal motion is included.

Largest 10 diffraction maxima, sorted by position, 2θ = 15–90°:
2theta  I_rel
26.0  20
30.9  28
31.0  24
32.3  39
33.3  100
33.8  43
34.2  23
34.4  23
36.5  44
58.8  22

Unit cell a=8.721 b=3.425 c=10.654 alpha=90.00 beta=95.60 gamma=90.00
Fractional coordinates of all 11 atoms:
Sm 0.000 0.000 0.000
Sm 0.038 0.000 0.334
Sm 0.341 0.000 0.859
Sm 0.659 0.000 0.141
Sm 0.962 0.000 0.666
Er 0.418 0.000 0.362
Er 0.582 0.000 0.638
In 0.257 0.500 0.576
In 0.300 0.500 0.123
In 0.700 0.500 0.877
In 0.743 0.500 0.424



Structure and simulated X-ray diffraction stick pattern of Sm4Er15In (the PBE geometry in Alexandria; λ = 1.5418 Å (Cu Kα)).
No peak broadening, texture or thermal motion is included.

Largest 10 diffraction maxima, sorted by position, 2θ = 15–90°:
2theta  I_rel
31.2  100
35.9  17
36.3  34
52.0  23
52.3  12
61.6  14
62.2  28
65.1  12
85.0  11
85.5  6

Unit cell a=4.947 b=4.947 c=25.011 alpha=90.00 beta=90.00 gamma=90.00
Fractional coordinates of all 20 atoms:
Sm 0.000 0.000 0.101
Sm 0.000 0.000 0.302
Sm 0.000 0.000 0.698
Sm 0.000 0.000 0.899
Er 0.000 0.500 0.000
Er 0.000 0.500 0.202
Er 0.000 0.500 0.404
Er 0.000 0.500 0.596
Er 0.000 0.500 0.798
Er 0.500 0.000 0.000
Er 0.500 0.000 0.202
Er 0.500 0.000 0.404
Er 0.500 0.000 0.596
Er 0.500 0.000 0.798
Er 0.500 0.500 0.102
Er 0.500 0.500 0.305
Er 0.500 0.500 0.500
Er 0.500 0.500 0.695
Er 0.500 0.500 0.898
In 0.000 0.000 0.500



Structure and simulated X-ray diffraction stick pattern of Sm3Er2In (the PBE geometry in Alexandria; λ = 1.5418 Å (Cu Kα)).
No peak broadening, texture or thermal motion is included.

Largest 10 diffraction maxima, sorted by position, 2θ = 15–90°:
2theta  I_rel
31.3  100
35.6  18
36.4  17
36.8  16
51.8  12
52.1  12
61.3  14
62.3  14
62.8  14
65.2  12

Unit cell a=7.955 b=7.955 c=4.888 alpha=90.00 beta=90.00 gamma=143.86
Fractional coordinates of all 6 atoms:
Sm 0.000 0.000 0.000
Sm 0.331 0.669 0.000
Sm 0.669 0.331 0.000
Er 0.163 0.837 0.500
Er 0.837 0.163 0.500
In 0.500 0.500 0.500